Simulated XRD peak list
Compound: K2TbF6
Radiation: CuKα
Structure: a GGA-PBE-relaxed structure
Kinematic intensities with the Lorentz-polarization factor, no thermal factor.

Top 12 peaks for 15 to 90 degrees two-theta, by angle:
two_theta	intensity
15.4	100
19.5	52
25.5	90
26.5	97
28.2	75
28.4	93
28.6	95
38.5	44
39.7	74
43.2	49
45.5	48
49.1	54

Cell and atoms:
```
data_K2TbF6
_chemical_formula_sum 'K8 Tb4 F24'
_cell_length_a 6.997
_cell_length_b 11.498
_cell_length_c 7.424
_cell_angle_alpha 90.00
_cell_angle_beta 90.63
_cell_angle_gamma 90.00
_symmetry_space_group_name_H-M 'C 1 2/c 1'
_symmetry_Int_Tables_number 15
loop_
_symmetry_equiv_pos_as_xyz
'x,y,z'
'-x,-y,-z'
'-x,y,-z+1/2'
'x,-y,z+1/2'
'x+1/2,y+1/2,z'
'-x+1/2,-y+1/2,-z'
'-x+1/2,y+1/2,-z+1/2'
'x+1/2,-y+1/2,z+1/2'
loop_
_atom_site_label
_atom_site_type_symbol
_atom_site_fract_x
_atom_site_fract_y
_atom_site_fract_z
_atom_site_occupancy
K1 K 0.025 0.161 0.001 1
Tb1 Tb 0.000 0.462 0.250 1
F1 F 0.045 0.394 0.956 1
F2 F 0.192 0.015 0.291 1
F3 F 0.205 0.306 0.276 1
```